(1)
This entry pairs a crystal structure of Ho6Fe16O with its theoretical powder diffractogram. Radiation: Cu Kα X-rays. Structure: a cell relaxed with PBE+U.

Cell and atoms:
```
data_Ho6Fe16O
_chemical_formula_sum 'Ho12 Fe32 O2'
_symmetry_space_group_name_H-M 'I m -3 m'
_symmetry_Int_Tables_number 229
_symmetry_space_group_name_Hall '-I 4 2 3'
_cell_length_a 9.4019
_cell_length_b 9.4019
_cell_length_c 9.4019
_cell_angle_alpha 90.00
_cell_angle_beta 90.00
_cell_angle_gamma 90.00
loop_
_atom_site_label
_atom_site_type_symbol
_atom_site_fract_x
_atom_site_fract_y
_atom_site_fract_z
Ho1 Ho 0.0000 0.0000 0.2627
Fe1 Fe 0.0000 0.3377 0.3377
Fe2 Fe 0.2500 0.2500 0.2500
O1 O 0.0000 0.0000 0.0000
```

Main lines, by angle (10 to 90 degrees two-theta):
- hkl 3 1 0, 30.06°, I 35
- hkl 2 2 2, 33.00°, I 67
- hkl 3 2 1, 35.73°, I 55
- hkl 4 0 0, 38.29°, I 43
- hkl 3 3 0, 40.72°, I 100
- hkl 4 4 0, 55.27°, I 22
- hkl 5 3 2, 60.72°, I 25
- hkl 6 2 2, 65.90°, I 43

=====

(2)
This entry pairs a crystal structure of LiVP2H2O8 with its theoretical powder diffractogram. Radiation: Cu Kα X-rays. Structure: a cell relaxed with PBE+U.

Cell and atoms:
```
data_LiVP2H2O8
_chemical_formula_sum 'Li2 V2 P4 H4 O16'
_symmetry_space_group_name_H-M 'P 21 21 2'
_symmetry_Int_Tables_number 18
_symmetry_space_group_name_Hall 'P 2 2ab'
_cell_length_a 6.9361
_cell_length_b 7.9664
_cell_length_c 5.3846
_cell_angle_alpha 90.00
_cell_angle_beta 90.00
_cell_angle_gamma 90.00
loop_
_atom_site_label
_atom_site_type_symbol
_atom_site_fract_x
_atom_site_fract_y
_atom_site_fract_z
Li1 Li 0.0000 0.0000 0.0835
V1 V 0.0000 0.5000 0.7579
P1 P 0.2183 0.6540 0.2628
H1 H 0.0144 0.2129 0.4374
O1 O 0.0452 0.7864 0.2653
O2 O 0.0855 0.2462 0.7271
O3 O 0.1987 0.5447 0.4953
O4 O 0.2075 0.5519 0.0200
```

Main lines, by angle (10 to 90 degrees two-theta):
- hkl 1 1 0, 16.95°, I 70
- hkl 1 1 1, 23.71°, I 100
- hkl 1 2 0, 25.79°, I 54
- hkl 1 2 1, 30.75°, I 21
- hkl 2 1 1, 32.71°, I 60
- hkl 0 0 2, 33.28°, I 17
- hkl 0 3 1, 37.77°, I 17
- hkl 2 0 2, 42.53°, I 17

=====

(3)
This entry pairs a crystal structure of NaSbWO7 with its theoretical powder diffractogram. Radiation: Cu Kα X-rays. Structure: a cell relaxed with PBE+U.

Cell and atoms:
```
data_NaSbWO7
_chemical_formula_sum 'Na4 Sb4 W4 O28'
_symmetry_space_group_name_H-M 'I m m a'
_symmetry_Int_Tables_number 74
_symmetry_space_group_name_Hall '-I 2b 2'
_cell_length_a 7.3243
_cell_length_b 7.5037
_cell_length_c 10.3945
_cell_angle_alpha 90.00
_cell_angle_beta 90.00
_cell_angle_gamma 90.00
loop_
_atom_site_label
_atom_site_type_symbol
_atom_site_fract_x
_atom_site_fract_y
_atom_site_fract_z
Na1 Na 0.0000 0.0000 0.0000
Sb1 Sb 0.2500 0.2500 0.2500
W1 W 0.0000 0.0000 0.5000
O1 O 0.0000 0.2500 0.1708
O2 O 0.0000 0.2500 0.5570
O3 O 0.0000 0.2500 0.8664
O4 O 0.1895 0.0604 0.3781
```

Main lines, by angle (10 to 90 degrees two-theta):
- hkl 0 1 1, 14.56°, I 68
- hkl 1 0 1, 14.80°, I 100
- hkl 1 2 1, 28.07°, I 45
- hkl 2 1 1, 28.42°, I 40
- hkl 0 2 2, 29.36°, I 72
- hkl 2 0 2, 29.85°, I 69
- hkl 2 2 0, 34.22°, I 26
- hkl 2 2 4, 49.39°, I 45

=====

(4)
This entry pairs a crystal structure of Si2MoO7 with its theoretical powder diffractogram. Radiation: Cu Kα X-rays. Structure: a cell relaxed with PBE+U.

Cell and atoms:
```
data_Si2MoO7
_chemical_formula_sum 'Si16 Mo8 O56'
_symmetry_space_group_name_H-M 'C 1 2/c 1'
_symmetry_Int_Tables_number 15
_symmetry_space_group_name_Hall '-C 2yc'
_cell_length_a 16.5493
_cell_length_b 7.9987
_cell_length_c 10.1087
_cell_angle_alpha 90.00
_cell_angle_beta 119.24
_cell_angle_gamma 90.00
loop_
_atom_site_label
_atom_site_type_symbol
_atom_site_fract_x
_atom_site_fract_y
_atom_site_fract_z
Si1 Si 0.1372 0.1765 0.1067
Si2 Si 0.1709 0.1951 0.6529
Mo1 Mo 0.0000 0.2810 0.7500
Mo2 Mo 0.0000 0.5000 0.0000
O1 O 0.0625 0.4782 0.8902
O2 O 0.0716 0.3157 0.1288
O3 O 0.0838 0.3189 0.6480
O4 O 0.0889 0.1566 0.9174
O5 O 0.1347 0.0082 0.6710
O6 O 0.1779 0.2139 0.5012
O7 O 0.2415 0.2506 0.1832
```

Main lines, by angle (10 to 90 degrees two-theta):
- hkl 2 0 0, 12.26°, I 100
- hkl 1 1 0, 12.65°, I 68
- hkl 1 1 -1, 14.17°, I 65
- hkl 2 0 -2, 17.72°, I 42
- hkl 3 1 -1, 19.58°, I 37
- hkl 3 1 0, 21.55°, I 88
- hkl 5 1 -1, 29.64°, I 38
- hkl 2 2 2, 36.36°, I 36